# LaNd2Si4Pd4
Computed XRD peak list, Cu Kα (weighted mean of Kα1 and Kα2). Input: a crystal structure in OQMD, relaxed with PBE.
Neutral-atom scattering factors, no anomalous dispersion.

Atomic structure:
Lattice parameters (Å, degrees): 12.601 12.601 12.601 160.87 160.39 27.53
Fractional positions:
1 La 0.000 0.000 0.000
2 Nd 0.353 0.853 0.500
3 Nd 0.647 0.147 0.500
4 Si 0.197 0.697 0.500
5 Si 0.451 0.451 0.000
6 Si 0.549 0.549 0.000
7 Si 0.803 0.303 0.500
8 Pd 0.098 0.598 0.500
9 Pd 0.249 0.249 0.000
10 Pd 0.751 0.751 0.000
11 Pd 0.902 0.402 0.500

Principal peaks in the range 10° ≤ 2θ ≤ 80°, in order of rising 2θ:
2θ = 23.42°, I 10.6
2θ = 29.19°, I 8.5
2θ = 33.31°, I 100.0
2θ = 39.22°, I 10.7
2θ = 42.12°, I 18.7
2θ = 43.21°, I 15.1
2θ = 45.94°, I 9.7
2θ = 54.77°, I 10.1
2θ = 61.92°, I 10.2
2θ = 72.93°, I 10.1